Entry 1:
The following is a computed powder XRD pattern of NdGePt2. It was derived from DFT lattice parameters and positions (PBE), using a wavelength of 1.5418 Å.
Kinematic intensities with the Lorentz-polarization factor, no thermal factor.

Top 8 peaks for 10° ≤ 2θ ≤ 80°, in order of rising 2θ:
two_theta	I (rel.)
19.74	30
25.39	36
33.43	100
36.51	43
36.75	38
38.90	57
40.10	36
41.70	49

Structure:
```
data_NdGePt2
_chemical_formula_sum 'Nd2 Ge2 Pt4'
_cell_length_a 4.332
_cell_length_b 5.981
_cell_length_c 6.823
_cell_angle_alpha 90.00
_cell_angle_beta 90.00
_cell_angle_gamma 90.00
_space_group_name_H-M_alt 'P 1'
_space_group_IT_number 1
_space_group_name_Hall 'P 1'
loop_
_atom_site_label
_atom_site_fract_x
_atom_site_fract_y
_atom_site_fract_z
_atom_site_occupancy
Nd1 0.000 0.206 0.000 1
Nd2 0.000 0.794 0.500 1
Ge1 0.500 0.307 0.610 1
Ge2 0.500 0.693 0.110 1
Pt1 0.000 0.318 0.436 1
Pt2 0.000 0.682 0.936 1
Pt3 0.500 0.059 0.288 1
Pt4 0.500 0.941 0.788 1
```

=====

Entry 2:
The following is a computed powder XRD pattern of ErNi5P3. It was derived from DFT lattice parameters and positions (PBE), using a wavelength of 1.5418 Å.
Kinematic intensities with the Lorentz-polarization factor, no thermal factor.

Top 8 peaks for 10° ≤ 2θ ≤ 80°, in order of rising 2θ:
two_theta	I (rel.)
28.13	43
31.78	32
34.26	58
35.51	100
37.84	70
39.07	27
41.45	63
51.49	43

Structure:
```
data_ErNi5P3
_chemical_formula_sum 'Er2 Ni10 P6'
_cell_length_a 6.078
_cell_length_b 6.078
_cell_length_c 11.359
_cell_angle_alpha 90.00
_cell_angle_beta 90.00
_cell_angle_gamma 146.04
_space_group_name_H-M_alt 'P 1'
_space_group_IT_number 1
_space_group_name_Hall 'P 1'
loop_
_atom_site_label
_atom_site_fract_x
_atom_site_fract_y
_atom_site_fract_z
_atom_site_occupancy
Er1 0.161 0.839 0.750 1
Er2 0.839 0.161 0.250 1
Ni1 0.000 0.000 0.000 1
Ni2 0.000 0.000 0.500 1
Ni3 0.201 0.799 0.072 1
Ni4 0.201 0.799 0.428 1
Ni5 0.451 0.549 0.645 1
Ni6 0.451 0.549 0.855 1
Ni7 0.549 0.451 0.145 1
Ni8 0.549 0.451 0.355 1
Ni9 0.799 0.201 0.572 1
Ni10 0.799 0.201 0.928 1
P1 0.118 0.882 0.250 1
P2 0.382 0.618 0.044 1
P3 0.382 0.618 0.456 1
P4 0.618 0.382 0.544 1
P5 0.618 0.382 0.956 1
P6 0.882 0.118 0.750 1
```

=====

Entry 3:
The following is a computed powder XRD pattern of TlRe3Se4Br2. It was derived from DFT lattice parameters and positions (PBE), using a wavelength of 1.5418 Å.
Kinematic intensities with the Lorentz-polarization factor, no thermal factor.

Top 8 peaks for 10° ≤ 2θ ≤ 80°, in order of rising 2θ:
two_theta	I (rel.)
10.25	100
13.71	98
14.32	57
14.60	39
16.26	44
43.04	40
43.40	40
44.81	34

Structure:
```
data_TlRe3Se4Br2
_chemical_formula_sum 'Tl2 Re6 Se8 Br4'
_cell_length_a 6.648
_cell_length_b 9.147
_cell_length_c 9.363
_cell_angle_alpha 85.18
_cell_angle_beta 82.47
_cell_angle_gamma 70.81
_space_group_name_H-M_alt 'P 1'
_space_group_IT_number 1
_space_group_name_Hall 'P 1'
loop_
_atom_site_label
_atom_site_fract_x
_atom_site_fract_y
_atom_site_fract_z
_atom_site_occupancy
Tl1 0.198 0.139 0.469 1
Tl2 0.802 0.861 0.531 1
Re1 0.271 0.424 0.022 1
Re2 0.330 0.675 0.100 1
Re3 0.413 0.599 0.825 1
Re4 0.587 0.401 0.175 1
Re5 0.670 0.325 0.900 1
Re6 0.729 0.576 0.978 1
Se1 0.032 0.706 0.944 1
Se2 0.200 0.497 0.285 1
Se3 0.358 0.351 0.761 1
Se4 0.473 0.838 0.905 1
Se5 0.527 0.162 0.095 1
Se6 0.642 0.649 0.239 1
Se7 0.800 0.503 0.715 1
Se8 0.968 0.294 0.056 1
Br1 0.089 0.920 0.235 1
Br2 0.301 0.737 0.579 1
Br3 0.699 0.263 0.421 1
Br4 0.911 0.080 0.765 1
```

=====

Entry 4:
The following is a computed powder XRD pattern of Er3In3CuPdPt. It was derived from DFT lattice parameters and positions (PBE), using a wavelength of 1.5418 Å.
Kinematic intensities with the Lorentz-polarization factor, no thermal factor.

Top 8 peaks for 10° ≤ 2θ ≤ 80°, in order of rising 2θ:
two_theta	I (rel.)
33.30	74
36.02	100
40.99	24
43.38	15
47.94	16
55.70	14
61.36	16
66.42	20

Structure:
```
data_Er3In3CuPdPt
_chemical_formula_sum 'Er3 In3 Cu1 Pd1 Pt1'
_cell_length_a 7.628
_cell_length_b 7.628
_cell_length_c 3.795
_cell_angle_alpha 90.00
_cell_angle_beta 90.00
_cell_angle_gamma 120.00
_space_group_name_H-M_alt 'P 1'
_space_group_IT_number 1
_space_group_name_Hall 'P 1'
loop_
_atom_site_label
_atom_site_fract_x
_atom_site_fract_y
_atom_site_fract_z
_atom_site_occupancy
Er1 0.007 0.592 0.000 1
Er2 0.408 0.414 0.000 1
Er3 0.586 0.993 0.000 1
In1 0.255 0.004 0.500 1
In2 0.750 0.745 0.500 1
In3 0.996 0.250 0.500 1
Cu1 0.000 0.000 0.000 1
Pd1 0.667 0.333 0.500 1
Pt1 0.333 0.667 0.500 1
```

=====

Entry 5:
The following is a computed powder XRD pattern of La2Si5Ni3. It was derived from DFT lattice parameters and positions (PBE), using a wavelength of 1.5418 Å.
Kinematic intensities with the Lorentz-polarization factor, no thermal factor.

Top 8 peaks for 10° ≤ 2θ ≤ 80°, in order of rising 2θ:
two_theta	I (rel.)
23.59	35
35.28	100
36.00	50
36.22	48
44.28	58
51.98	26
57.69	23
57.99	22

Structure:
```
data_La2Si5Ni3
_chemical_formula_sum 'La4 Si10 Ni6'
_cell_length_a 8.086
_cell_length_b 8.086
_cell_length_c 8.086
_cell_angle_alpha 105.91
_cell_angle_beta 89.08
_cell_angle_gamma 137.91
_space_group_name_H-M_alt 'P 1'
_space_group_IT_number 1
_space_group_name_Hall 'P 1'
loop_
_atom_site_label
_atom_site_fract_x
_atom_site_fract_y
_atom_site_fract_z
_atom_site_occupancy
La1 0.129 0.240 0.369 1
La2 0.371 0.740 0.110 1
La3 0.629 0.260 0.890 1
La4 0.871 0.760 0.631 1
Si1 0.011 0.750 0.261 1
Si2 0.110 0.643 0.754 1
Si3 0.250 0.250 0.000 1
Si4 0.390 0.143 0.533 1
Si5 0.489 0.750 0.739 1
Si6 0.511 0.250 0.261 1
Si7 0.610 0.857 0.467 1
Si8 0.750 0.750 0.000 1
Si9 0.890 0.357 0.246 1
Si10 0.989 0.250 0.739 1
Ni1 0.132 0.888 0.020 1
Ni2 0.250 0.750 0.500 1
Ni3 0.368 0.388 0.756 1
Ni4 0.632 0.612 0.244 1
Ni5 0.750 0.250 0.500 1
Ni6 0.868 0.112 0.980 1
```

=====

Entry 6:
The following is a computed powder XRD pattern of Hf2InSbPd2. It was derived from DFT lattice parameters and positions (PBE), using a wavelength of 1.5418 Å.
Kinematic intensities with the Lorentz-polarization factor, no thermal factor.

Top 8 peaks for 10° ≤ 2θ ≤ 80°, in order of rising 2θ:
two_theta	I (rel.)
24.32	23
28.15	28
40.23	100
47.60	8
49.82	8
58.26	11
73.04	11
73.16	22

Structure:
```
data_Hf2InSbPd2
_chemical_formula_sum 'Hf4 In2 Sb2 Pd4'
_cell_length_a 7.772
_cell_length_b 7.772
_cell_length_c 7.772
_cell_angle_alpha 131.91
_cell_angle_beta 131.91
_cell_angle_gamma 70.38
_space_group_name_H-M_alt 'P 1'
_space_group_IT_number 1
_space_group_name_Hall 'P 1'
loop_
_atom_site_label
_atom_site_fract_x
_atom_site_fract_y
_atom_site_fract_z
_atom_site_occupancy
Hf1 0.245 0.245 0.000 1
Hf2 0.505 0.005 0.500 1
Hf3 0.755 0.755 0.000 1
Hf4 0.995 0.495 0.500 1
In1 0.000 0.000 0.000 1
In2 0.750 0.250 0.500 1
Sb1 0.250 0.750 0.500 1
Sb2 0.500 0.500 0.000 1
Pd1 0.132 0.625 0.007 1
Pd2 0.375 0.382 0.507 1
Pd3 0.618 0.125 0.993 1
Pd4 0.875 0.868 0.493 1
```

=====

Entry 7:
The following is a computed powder XRD pattern of Cs6Pd2O5. It was derived from DFT lattice parameters and positions (PBE), using a wavelength of 1.5418 Å.
Kinematic intensities with the Lorentz-polarization factor, no thermal factor.

Top 8 peaks for 10° ≤ 2θ ≤ 80°, in order of rising 2θ:
two_theta	I (rel.)
27.55	33
28.02	93
28.45	100
28.86	45
31.28	20
33.35	27
35.61	44
45.55	20

Structure:
```
data_Cs6Pd2O5
_chemical_formula_sum 'Cs6 Pd2 O5'
_cell_length_a 7.220
_cell_length_b 7.220
_cell_length_c 7.296
_cell_angle_alpha 91.89
_cell_angle_beta 91.89
_cell_angle_gamma 117.96
_space_group_name_H-M_alt 'P 1'
_space_group_IT_number 1
_space_group_name_Hall 'P 1'
loop_
_atom_site_label
_atom_site_fract_x
_atom_site_fract_y
_atom_site_fract_z
_atom_site_occupancy
Cs1 0.000 0.000 0.000 1
Cs2 0.305 0.305 0.594 1
Cs3 0.420 0.898 0.293 1
Cs4 0.444 0.854 0.792 1
Cs5 0.854 0.444 0.792 1
Cs6 0.898 0.420 0.293 1
Pd1 0.449 0.449 0.108 1
Pd2 0.857 0.857 0.487 1
O1 0.100 0.808 0.563 1
O2 0.199 0.470 0.006 1
O3 0.470 0.199 0.006 1
O4 0.647 0.647 0.303 1
O5 0.808 0.100 0.563 1
```

=====

Entry 8:
The following is a computed powder XRD pattern of K3TmP2O8. It was derived from DFT lattice parameters and positions (PBE), using a wavelength of 1.5418 Å.
Kinematic intensities with the Lorentz-polarization factor, no thermal factor.

Top 8 peaks for 10° ≤ 2θ ≤ 80°, in order of rising 2θ:
two_theta	I (rel.)
12.10	100
18.57	44
22.29	50
30.68	35
30.91	95
32.10	52
33.16	59
45.48	23

Structure:
```
data_K3TmP2O8
_chemical_formula_sum 'K6 Tm2 P4 O16'
_cell_length_a 7.316
_cell_length_b 5.576
_cell_length_c 9.267
_cell_angle_alpha 90.00
_cell_angle_beta 90.76
_cell_angle_gamma 90.00
_space_group_name_H-M_alt 'P 1'
_space_group_IT_number 1
_space_group_name_Hall 'P 1'
loop_
_atom_site_label
_atom_site_fract_x
_atom_site_fract_y
_atom_site_fract_z
_atom_site_occupancy
K1 0.003 0.250 0.192 1
K2 0.135 0.750 0.413 1
K3 0.295 0.250 0.919 1
K4 0.705 0.750 0.081 1
K5 0.865 0.250 0.587 1
K6 0.997 0.750 0.808 1
Tm1 0.492 0.750 0.712 1
Tm2 0.508 0.250 0.288 1
P1 0.273 0.750 0.091 1
P2 0.315 0.250 0.572 1
P3 0.685 0.750 0.428 1
P4 0.727 0.250 0.909 1
O1 0.064 0.750 0.103 1
O2 0.211 0.250 0.424 1
O3 0.264 0.023 0.662 1
O4 0.264 0.477 0.662 1
O5 0.332 0.750 0.930 1
O6 0.352 0.524 0.167 1
O7 0.352 0.976 0.167 1
O8 0.480 0.750 0.464 1
O9 0.520 0.250 0.536 1
O10 0.648 0.024 0.833 1
O11 0.648 0.476 0.833 1
O12 0.668 0.250 0.070 1
O13 0.736 0.523 0.338 1
O14 0.736 0.977 0.338 1
O15 0.789 0.750 0.576 1
O16 0.936 0.250 0.897 1
```

=====

Entry 9:
The following is a computed powder XRD pattern of Gd3DySn2C2. It was derived from DFT lattice parameters and positions (PBE), using a wavelength of 1.5418 Å.
Kinematic intensities with the Lorentz-polarization factor, no thermal factor.

Top 8 peaks for 10° ≤ 2θ ≤ 80°, in order of rising 2θ:
two_theta	I (rel.)
28.23	22
32.90	100
33.47	20
44.34	16
49.97	22
59.47	19
61.14	17
61.49	22

Structure:
```
data_Gd3DySn2C2
_chemical_formula_sum 'Gd3 Dy1 Sn2 C2'
_cell_length_a 3.650
_cell_length_b 3.650
_cell_length_c 16.065
_cell_angle_alpha 90.00
_cell_angle_beta 90.00
_cell_angle_gamma 120.00
_space_group_name_H-M_alt 'P 1'
_space_group_IT_number 1
_space_group_name_Hall 'P 1'
loop_
_atom_site_label
_atom_site_fract_x
_atom_site_fract_y
_atom_site_fract_z
_atom_site_occupancy
Gd1 0.000 0.000 0.000 1
Gd2 0.000 0.000 0.331 1
Gd3 0.667 0.333 0.830 1
Dy1 0.667 0.333 0.499 1
Sn1 0.000 0.000 0.663 1
Sn2 0.667 0.333 0.165 1
C1 0.333 0.667 0.416 1
C2 0.333 0.667 0.915 1
```

=====

Entry 10:
The following is a computed powder XRD pattern of CdCu2SiTe2Se2. It was derived from DFT lattice parameters and positions (PBE), using a wavelength of 1.5418 Å.
Kinematic intensities with the Lorentz-polarization factor, no thermal factor.

Top 8 peaks for 10° ≤ 2θ ≤ 80°, in order of rising 2θ:
two_theta	I (rel.)
26.13	100
26.32	96
42.67	24
43.16	23
43.78	88
50.83	28
51.16	27
52.45	15

Structure:
```
data_CdCu2SiTe2Se2
_chemical_formula_sum 'Cd1 Cu2 Si1 Te2 Se2'
_cell_length_a 7.138
_cell_length_b 7.111
_cell_length_c 5.961
_cell_angle_alpha 65.51
_cell_angle_beta 65.03
_cell_angle_gamma 49.46
_space_group_name_H-M_alt 'P 1'
_space_group_IT_number 1
_space_group_name_Hall 'P 1'
loop_
_atom_site_label
_atom_site_fract_x
_atom_site_fract_y
_atom_site_fract_z
_atom_site_occupancy
Cd1 0.000 0.000 0.000 1
Cu1 0.272 0.272 0.228 1
Cu2 0.772 0.772 0.728 1
Si1 0.501 0.501 0.499 1
Te1 0.412 0.873 0.127 1
Te2 0.873 0.412 0.588 1
Se1 0.154 0.598 0.846 1
Se2 0.598 0.154 0.402 1
```

=====

Entry 11:
The following is a computed powder XRD pattern of Y4Co3Mo2C3. It was derived from DFT lattice parameters and positions (PBE), using a wavelength of 1.5418 Å.
Kinematic intensities with the Lorentz-polarization factor, no thermal factor.

Top 8 peaks for 10° ≤ 2θ ≤ 80°, in order of rising 2θ:
two_theta	I (rel.)
29.33	38
31.41	39
32.13	45
33.54	80
33.73	47
34.05	100
34.69	67
37.63	40

Structure:
```
data_Y4Co3Mo2C3
_chemical_formula_sum 'Y8 Co6 Mo4 C6'
_cell_length_a 5.792
_cell_length_b 5.920
_cell_length_c 13.894
_cell_angle_alpha 86.01
_cell_angle_beta 78.41
_cell_angle_gamma 61.13
_space_group_name_H-M_alt 'P 1'
_space_group_IT_number 1
_space_group_name_Hall 'P 1'
loop_
_atom_site_label
_atom_site_fract_x
_atom_site_fract_y
_atom_site_fract_z
_atom_site_occupancy
Y1 0.048 0.151 0.383 1
Y2 0.090 0.846 0.113 1
Y3 0.206 0.521 0.888 1
Y4 0.393 0.511 0.386 1
Y5 0.607 0.489 0.614 1
Y6 0.794 0.479 0.112 1
Y7 0.910 0.154 0.887 1
Y8 0.952 0.849 0.617 1
Co1 0.165 0.432 0.230 1
Co2 0.257 0.279 0.721 1
Co3 0.429 0.886 0.770 1
Co4 0.571 0.114 0.230 1
Co5 0.743 0.721 0.279 1
Co6 0.835 0.568 0.770 1
Mo1 0.280 0.196 0.563 1
Mo2 0.464 0.197 0.067 1
Mo3 0.536 0.803 0.933 1
Mo4 0.720 0.804 0.437 1
C1 0.000 0.500 0.500 1
C2 0.202 0.148 0.001 1
C3 0.351 0.847 0.508 1
C4 0.500 0.500 0.000 1
C5 0.649 0.153 0.492 1
C6 0.798 0.852 0.999 1
```

=====

Entry 12:
The following is a computed powder XRD pattern of GdMgGaPd. It was derived from DFT lattice parameters and positions (PBE), using a wavelength of 1.5418 Å.
Kinematic intensities with the Lorentz-polarization factor, no thermal factor.

Top 8 peaks for 10° ≤ 2θ ≤ 80°, in order of rising 2θ:
two_theta	I (rel.)
17.46	100
31.26	25
34.52	33
36.03	29
38.93	27
40.74	31
44.63	28
47.89	25

Structure:
```
data_GdMgGaPd
_chemical_formula_sum 'Gd2 Mg2 Ga2 Pd2'
_cell_length_a 8.955
_cell_length_b 8.955
_cell_length_c 5.079
_cell_angle_alpha 90.00
_cell_angle_beta 90.00
_cell_angle_gamma 146.26
_space_group_name_H-M_alt 'P 1'
_space_group_IT_number 1
_space_group_name_Hall 'P 1'
loop_
_atom_site_label
_atom_site_fract_x
_atom_site_fract_y
_atom_site_fract_z
_atom_site_occupancy
Gd1 0.127 0.873 0.000 1
Gd2 0.873 0.127 0.000 1
Mg1 0.302 0.698 0.553 1
Mg2 0.698 0.302 0.553 1
Ga1 0.432 0.568 0.203 1
Ga2 0.568 0.432 0.203 1
Pd1 0.292 0.708 0.049 1
Pd2 0.708 0.292 0.049 1
```